Simulated powder diffractogram
Compound: NbZnIr
Radiation: Cu Kα, 1.54184 Å
Structure: a structure optimized by DFT (PBE)

Structure:
a b c (Å): 4.8638 4.8638 5.1751
angles (deg): 90.00 90.00 127.74
Fractional positions:
Nb: 0.2099 0.7901 0.7500
Nb: 0.7901 0.2099 0.2500
Zn: 0.5000 0.5000 0.0000
Zn: 0.5000 0.5000 0.5000
Ir: 0.1138 0.8862 0.2500
Ir: 0.8862 0.1138 0.7500

The 6 most intense peaks (10° ≤ 2θ ≤ 90°), sorted by position:
- 23.12°, I = 24
- 26.71°, I = 37
- 37.35°, I = 46
- 41.36°, I = 63
- 42.12°, I = 100
- 66.72°, I = 25


Simulated powder diffractogram
Compound: Nb2Zn2Ir3
Radiation: Cu Kα, 1.54184 Å
Structure: a structure optimized by DFT (PBE)

Structure:
a b c (Å): 10.0227 10.0227 2.8389
angles (deg): 90.00 90.00 157.64
Fractional positions:
Nb: 0.0758 0.9242 0.0000
Nb: 0.9242 0.0758 0.0000
Zn: 0.2138 0.7862 0.0000
Zn: 0.7862 0.2138 0.0000
Ir: 0.3523 0.6477 0.5000
Ir: 0.5000 0.5000 0.5000
Ir: 0.6477 0.3523 0.5000

The 6 most intense peaks (10° ≤ 2θ ≤ 90°), sorted by position:
- 39.58°, I = 100
- 42.11°, I = 26
- 46.73°, I = 16
- 64.71°, I = 14
- 79.58°, I = 13
- 81.86°, I = 12


Simulated powder diffractogram
Compound: ZrNb2Ir5
Radiation: Cu Kα, 1.54184 Å
Structure: a structure optimized by DFT (PBE)

Structure:
a b c (Å): 5.6773 11.3634 4.0238
angles (deg): 90.00 90.00 90.00
Fractional positions:
Zr: 0.0000 0.0000 0.0000
Zr: 0.5000 0.5000 0.0000
Nb: 0.2072 0.3614 0.5000
Nb: 0.2928 0.8614 0.5000
Nb: 0.7072 0.1386 0.5000
Nb: 0.7928 0.6386 0.5000
Ir: 0.0000 0.5000 0.0000
Ir: 0.0187 0.7478 0.0000
Ir: 0.2379 0.1249 0.5000
Ir: 0.2621 0.6249 0.5000
Ir: 0.4813 0.2478 0.0000
Ir: 0.5000 0.0000 0.0000
Ir: 0.5187 0.7522 0.0000
Ir: 0.7379 0.3751 0.5000
Ir: 0.7621 0.8751 0.5000
Ir: 0.9813 0.2522 0.0000

The 6 most intense peaks (10° ≤ 2θ ≤ 90°), sorted by position:
- 38.81°, I = 100
- 45.12°, I = 48
- 65.71°, I = 26
- 78.94°, I = 13
- 79.07°, I = 22
- 83.29°, I = 10


Simulated powder diffractogram
Compound: Nd7Ir3
Radiation: Cu Kα, 1.54184 Å
Structure: a structure optimized by DFT (PBE)

Structure:
a b c (Å): 10.1636 10.1636 6.3827
angles (deg): 90.00 90.00 120.00
Fractional positions:
Nd: 0.0791 0.5396 0.0000
Nd: 0.1257 0.2513 0.3076
Nd: 0.1257 0.8743 0.3076
Nd: 0.2513 0.1257 0.8076
Nd: 0.3333 0.6667 0.5296
Nd: 0.4604 0.5396 0.0000
Nd: 0.4604 0.9209 0.0000
Nd: 0.5396 0.0791 0.5000
Nd: 0.5396 0.4604 0.5000
Nd: 0.6667 0.3333 0.0296
Nd: 0.7487 0.8743 0.3076
Nd: 0.8743 0.1257 0.8076
Nd: 0.8743 0.7487 0.8076
Nd: 0.9209 0.4604 0.5000
Ir: 0.1883 0.3765 0.7491
Ir: 0.1883 0.8117 0.7491
Ir: 0.3765 0.1883 0.2491
Ir: 0.6235 0.8117 0.7491
Ir: 0.8117 0.1883 0.2491
Ir: 0.8117 0.6235 0.2491

The 6 most intense peaks (10° ≤ 2θ ≤ 90°), sorted by position:
- 17.16°, I = 35
- 29.78°, I = 47
- 30.30°, I = 100
- 33.62°, I = 85
- 34.72°, I = 77
- 35.32°, I = 74